No. 1
The following is a computed PXRD pattern of TbZrTe2As2. It was derived from a cell relaxed with PBE, using Cu Kα (λ = 1.5418 Å).

The 10 most intense peaks (15 to 90 degrees two-theta), in order of falling intensity:
two_theta, I/Imax
30.2, 100
40.8, 56
38.3, 54
35.3, 51
31.3, 42
34.5, 37
48.3, 23
61.2, 20
17.1, 20
61.4, 20

a b c (Å): 3.769 5.573 14.308
angles (deg): 90.00 90.00 90.00
Space group Imm2 (No. 44)
Symmetry-distinct sites (fractional):
Tb (0.000, 0.000, 0.000) x2
Zr (0.000, 0.000, 0.246) x2
Te (0.000, 0.500, 0.324) x2
Te (0.000, 0.500, 0.909) x2
As (0.000, 0.241, 0.634) x4

No. 2
The following is a computed PXRD pattern of Tb2TmAs3. It was derived from a cell relaxed with PBE, using Cu Kα (λ = 1.5418 Å).

The 10 most intense peaks (15 to 90 degrees two-theta), in order of falling intensity:
two_theta, I/Imax
30.8, 100
44.1, 74
72.8, 33
54.7, 26
81.1, 25
26.6, 23
64.1, 12
52.2, 12
70.7, 5
87.2, 4

a b c (Å): 4.1079 4.1079 10.0549
angles (deg): 90.00 90.00 120.00
Space group P-3m1 (No. 164)
Symmetry-distinct sites (fractional):
Tb (0.3333, 0.6667, 0.3314) x2
Tm (0.0000, 0.0000, 0.0000) x1
As (0.0000, 0.0000, 0.5000) x1
As (0.3333, 0.6667, 0.8376) x2

No. 3
The following is a computed PXRD pattern of TbTm2As3. It was derived from a cell relaxed with PBE, using Cu Kα (λ = 1.5418 Å).

The 10 most intense peaks (15 to 90 degrees two-theta), in order of falling intensity:
two_theta, I/Imax
31.0, 100
44.4, 74
73.3, 33
55.1, 26
81.7, 25
26.7, 25
52.6, 12
64.6, 12
71.2, 5
87.9, 4

a b c (Å): 4.0840 4.0840 9.9958
angles (deg): 90.00 90.00 120.00
Space group P-3m1 (No. 164)
Symmetry-distinct sites (fractional):
Tb (0.0000, 0.0000, 0.0000) x1
Tm (0.3333, 0.6667, 0.3353) x2
As (0.0000, 0.0000, 0.5000) x1
As (0.3333, 0.6667, 0.8290) x2

No. 4
The following is a computed PXRD pattern of Tb3YAs4. It was derived from a cell relaxed with PBE, using Cu Kα (λ = 1.5418 Å).

The 10 most intense peaks (15 to 90 degrees two-theta), in order of falling intensity:
two_theta, I/Imax
30.6, 100
43.8, 74
72.3, 33
54.4, 26
80.6, 25
26.4, 16
63.7, 12
51.9, 8
70.2, 3
86.6, 2

a b c (Å): 8.259 11.681 4.131
angles (deg): 90.00 90.00 90.00
Space group Cmmm (No. 65)
Symmetry-distinct sites (fractional):
Tb (0.000, 0.000, 0.000) x2
Tb (0.250, 0.250, 0.500) x4
Y (0.000, 0.500, 0.000) x2
As (0.000, 0.250, 0.000) x4
As (0.250, 0.000, 0.500) x4

No. 5
The following is a computed PXRD pattern of ZrTe2As2W. It was derived from a cell relaxed with PBE, using Cu Kα (λ = 1.5418 Å).

The 10 most intense peaks (15 to 90 degrees two-theta), in order of falling intensity:
two_theta, I/Imax
31.8, 100
40.3, 76
42.1, 74
37.6, 64
32.5, 58
17.7, 47
35.8, 38
50.1, 28
33.1, 27
64.3, 26

a b c (Å): 3.643 5.417 13.318
angles (deg): 90.00 90.00 90.00
Space group Imm2 (No. 44)
Symmetry-distinct sites (fractional):
Zr (0.000, 0.000, 0.000) x2
Te (0.000, 0.500, 0.100) x2
Te (0.000, 0.500, 0.679) x2
As (0.000, 0.252, 0.374) x4
W (0.000, 0.000, 0.771) x2

No. 6
The following is a computed PXRD pattern of Zn4As3. It was derived from a cell relaxed with PBE, using Cu Kα (λ = 1.5418 Å).

The 10 most intense peaks (15 to 90 degrees two-theta), in order of falling intensity:
two_theta, I/Imax
38.7, 100
32.9, 41
40.4, 39
50.0, 28
24.7, 24
53.0, 21
48.3, 17
29.3, 16
31.9, 16
72.3, 15

a b c (Å): 8.3143 8.3143 4.4696
angles (deg): 90.00 90.00 120.00
Space group P-6 (No. 174)
Symmetry-distinct sites (fractional):
Zn (0.0000, 0.0000, 0.0000) x1
Zn (0.0326, 0.4659, 0.5000) x3
Zn (0.1850, 0.7248, 0.0000) x3
Zn (0.6667, 0.3333, 0.5000) x1
As (0.0854, 0.7989, 0.5000) x3
As (0.4749, 0.1649, 0.0000) x3